For Ca2BRh, the PBE geometry in Alexandria gives the theoretical powder X-ray diffraction pattern in this record (Cu Kα, 1.54184 Å).

Principal peaks in the range 10 to 90 degrees two-theta, sorted by position:
7.657 Å, rel. 100
3.183 Å, rel. 24
3.095 Å, rel. 23
2.804 Å, rel. 46
2.633 Å, rel. 52
2.296 Å, rel. 27
1.855 Å, rel. 26
1.332 Å, rel. 15

a = 3.7106 Å, b = 3.7106 Å, c = 22.9719 Å
α = 90.00°, β = 90.00°, γ = 120.00°
Fractional coordinates of all 12 atoms:
Ca1 0.0000 0.0000 0.0000
Ca2 0.0000 0.0000 0.1799
Ca3 0.3333 0.6667 0.6667
Ca4 0.3333 0.6667 0.8466
Ca5 0.6667 0.3333 0.3333
Ca6 0.6667 0.3333 0.5132
B1 0.0000 0.0000 0.4233
B2 0.3333 0.6667 0.0899
B3 0.6667 0.3333 0.7566
Rh1 0.0000 0.0000 0.7567
Rh2 0.3333 0.6667 0.4234
Rh3 0.6667 0.3333 0.0901